Diffraction record for Li3NiOF3. The X-ray diffraction stick pattern is calculated, not measured: it uses DFT lattice parameters and positions (GGA+U) and Cu Kα X-rays.

Structure:
Cell: 2.9095 2.9095 8.3177 Å, 90.00 90.00 90.00°
Space group P4/mmm (No. 123)
Unique sites:
1 Li 0.0000 0.0000 0.0000 [1 per cell]
2 Li 0.5000 0.5000 0.2486 [2 per cell]
3 Ni 0.0000 0.0000 0.5000 [1 per cell]
4 O 0.5000 0.5000 0.5000 [1 per cell]
5 F 0.0000 0.0000 0.2402 [2 per cell]
6 F 0.5000 0.5000 0.0000 [1 per cell]

The 10 most intense peaks (10° ≤ 2θ ≤ 90°), sorted by position:
| 2θ/deg | I/Imax | h k l |
| --- | --- | --- |
| 10.64 | 1000 | 0 0 1 |
| 21.37 | 234 | 0 0 2 |
| 30.73 | 225 | 1 0 0 |
| 32.61 | 357 | 1 0 1 |
| 43.52 | 242 | 0 0 4 |
| 44.01 | 474 | 1 1 0 |
| 45.17 | 183 | 1 0 3 |
| 63.62 | 259 | 1 1 4 |
| 64.00 | 128 | 2 0 0 |
| 80.59 | 115 | 2 0 4 |